Theoretical PXRD pattern
Compound: Li6CrO4
Radiation: Cu Kα (λ = 1.5418 Å)
Structure: a structure optimized by DFT (GGA+U)
No peak broadening, texture or thermal motion is included.

Principal peaks in the range 2θ = 10–90°, in order of rising 2θ:
2θ 18.51, d 4.793, I 31, (1 1 0)
2θ 23.32, d 3.815, I 100, (1 0 1)
2θ 26.30, d 3.389, I 23, (2 0 0)
2θ 32.79, d 2.732, I 46, (2 0 1)
2θ 35.43, d 2.534, I 40, (2 1 1)
2θ 43.53, d 2.079, I 14, (1 1 2)
2θ 44.66, d 2.029, I 29, (3 0 1)
2θ 54.13, d 1.694, I 22, (4 0 0)
2θ 55.27, d 1.662, I 36, (2 2 2)
2θ 68.39, d 1.372, I 15, (2 1 3)

Atomic structure:
abc: 6.7778 6.7778 4.6151
angles: 90.00 90.00 90.00
Space group P4_2/nmc (No. 137, origin choice 2)
Inequivalent atoms, fractional coordinates:
Li  0.0338  0.5338  0.2500
Li  0.2500  0.2500  0.1898
Cr  0.2500  0.7500  0.7500
O  0.0203  0.2500  0.4500